# TmCo4Ge2
Theoretical powder diffraction line list, Cu Kα (λ = 1.5418 Å). Input: the PBE geometry in the Materials Project.
Kinematic intensities with the Lorentz-polarization factor, no thermal factor.

Structure:
```
14
Lattice="7.2246 0.0000 0.0000 0.0000 7.2246 0.0000 0.0000 0.0000 3.7058" Properties=species:S:1:pos:R:3 pbc="T T T"
Tm 0.0000 0.0000 0.0000
Tm 3.6123 3.6123 1.8529
Co 0.5933 2.5551 1.8529
Co 1.0573 4.2057 0.0000
Co 2.5551 0.5933 1.8529
Co 3.0190 6.1674 0.0000
Co 4.2057 1.0573 0.0000
Co 4.6696 6.6313 1.8529
Co 6.1674 3.0190 0.0000
Co 6.6313 4.6696 1.8529
Ge 1.6021 5.6225 1.8529
Ge 2.0102 2.0102 0.0000
Ge 5.2145 5.2145 0.0000
Ge 5.6225 1.6021 1.8529
```

Main lines, sorted by position (10 to 90 degrees two-theta):
2θ (°), I/Imax
27.04, 193
35.13, 300
36.91, 1000
39.44, 392
43.01, 236
46.71, 461
49.17, 256
58.24, 163
64.78, 175
69.87, 199